Structure and computed powder diffraction line list of Ba10Ta10N9O21 (a crystal structure in the Materials Project, relaxed with GGA-PBE; Cu Ka).
Lines closer than 0.1° are merged.

Top 8 peaks for 10° ≤ 2θ ≤ 90°, most intense first:
d = 2.928 Å, intensity 100, (0 1 10)
d = 1.691 Å, intensity 27, (1 2 10)
d = 2.067 Å, intensity 18, (2 0 0)
d = 1.688 Å, intensity 14, (2 1 10)
d = 1.465 Å, intensity 11, (2 0 20)
d = 2.076 Å, intensity 9, (0 0 20)
d = 1.105 Å, intensity 7, (2 3 10)
d = 1.106 Å, intensity 7, (3 1 20)

Structure:
Cell: 4.132 4.138 41.513 Å, 90.00 90.00 90.00°
Space group Pmmm (No. 47)
One atom of each set of equivalent atoms:
Ba 0.000 0.000 0.000
Ba 0.000 0.000 0.100
Ba 0.000 0.000 0.200
Ba 0.000 0.000 0.298
Ba 0.000 0.000 0.400
Ba 0.000 0.000 0.500
Ta 0.500 0.500 0.050
Ta 0.500 0.500 0.150
Ta 0.500 0.500 0.250
Ta 0.500 0.500 0.353
Ta 0.500 0.500 0.451
N 0.500 0.000 0.050
N 0.500 0.000 0.150
N 0.500 0.000 0.250
N 0.500 0.500 0.399
N 0.500 0.500 0.500
O 0.000 0.500 0.050
O 0.000 0.500 0.150
O 0.000 0.500 0.250
O 0.000 0.500 0.349
O 0.000 0.500 0.450
O 0.500 0.000 0.349
O 0.500 0.000 0.450
O 0.500 0.500 0.000
O 0.500 0.500 0.100
O 0.500 0.500 0.200
O 0.500 0.500 0.299